For Ba3YTe4, a structure optimized by DFT (GGA-PBE) gives the computed powder X-ray diffraction pattern in this record (a wavelength of 1.5418 Å).
No peak broadening, texture or thermal motion is included.

Principal peaks in the range 2θ = 10–90°, by angle:
| two_theta | I (rel.) | h k l |
| --- | --- | --- |
| 26.13 | 100 | 2 0 1 |
| 36.96 | 12 | 4 0 0 |
| 37.29 | 50 | 2 4 1 |
| 37.58 | 13 | 0 0 2 |
| 45.83 | 13 | 4 4 0 |
| 46.35 | 14 | 0 4 2 |
| 53.75 | 12 | 4 0 2 |
| 60.72 | 21 | 4 4 2 |
| 66.81 | 7 | 6 4 1 |
| 67.63 | 9 | 2 4 3 |

```
data_Ba3YTe4
_symmetry_space_group_name_H-M 'C m m m'
_symmetry_Int_Tables_number 65
_symmetry_space_group_name_Hall '-C 2 2'
_cell_length_a 9.7285
_cell_length_b 13.6369
_cell_length_c 4.7864
_cell_angle_alpha 90.00
_cell_angle_beta 90.00
_cell_angle_gamma 90.00
loop_
_atom_site_label
_atom_site_fract_x
_atom_site_fract_y
_atom_site_fract_z
Ba1 0.0000 0.0000 0.0000
Ba2 0.2500 0.2500 0.5000
Y1 0.0000 0.5000 0.0000
Te1 0.0000 0.2662 0.0000
Te2 0.2232 0.5000 0.5000
```